Record 1
The following is a calculated XRD peak list of Cu5P2O12. It was derived from a PBE-relaxed structure, using Cu Kα (λ = 1.5418 Å).
Neutral-atom scattering factors, no anomalous dispersion.

Largest 8 diffraction maxima, by intensity, 2θ from 15° to 90°:
- 19.5 deg, 4.550 Å, I 1000
- 36.3 deg, 2.478 Å, I 462
- 29.6 deg, 3.017 Å, I 338
- 39.6 deg, 2.274 Å, I 267
- 39.1 deg, 2.304 Å, I 225
- 38.8 deg, 2.321 Å, I 221
- 29.1 deg, 3.067 Å, I 212
- 32.3 deg, 2.774 Å, I 209

```
data_Cu5P2O12
_chemical_formula_sum 'Cu5 P2 O12'
_symmetry_space_group_name_H-M 'P -1'
_symmetry_Int_Tables_number 2
_symmetry_space_group_name_Hall '-P 1'
_cell_length_a 4.5718
_cell_length_b 5.7438
_cell_length_c 8.4270
_cell_angle_alpha 76.07
_cell_angle_beta 89.60
_cell_angle_gamma 84.53
loop_
_atom_site_label
_atom_site_fract_x
_atom_site_fract_y
_atom_site_fract_z
Cu1 0.0000 0.0000 0.0000
Cu2 0.0000 0.0000 0.5000
Cu3 0.0000 0.5000 0.0000
Cu4 0.0526 0.5419 0.3303
P1 0.4935 0.8433 0.7702
O1 0.1263 0.2844 0.8731
O2 0.1423 0.3022 0.5237
O3 0.2890 0.4012 0.1843
O4 0.3038 0.8025 0.6301
O5 0.3052 0.8116 0.9278
O6 0.3254 0.9448 0.2660
```


Record 2
The following is a calculated XRD peak list of Cu3P4O14. It was derived from a PBE-relaxed structure, using Cu Kα (λ = 1.5418 Å).
Neutral-atom scattering factors, no anomalous dispersion.

Largest 8 diffraction maxima, by intensity, 2θ from 15° to 90°:
- 26.7 deg, 3.341 Å, I 1000
- 30.6 deg, 2.918 Å, I 741
- 21.1 deg, 4.217 Å, I 651
- 27.8 deg, 3.205 Å, I 428
- 32.4 deg, 2.761 Å, I 387
- 27.7 deg, 3.220 Å, I 358
- 37.0 deg, 2.428 Å, I 310
- 33.6 deg, 2.668 Å, I 295

```
data_Cu3P4O14
_chemical_formula_sum 'Cu3 P4 O14'
_symmetry_space_group_name_H-M 'P -1'
_symmetry_Int_Tables_number 2
_symmetry_space_group_name_Hall '-P 1'
_cell_length_a 4.8466
_cell_length_b 7.0369
_cell_length_c 8.4823
_cell_angle_alpha 67.97
_cell_angle_beta 75.66
_cell_angle_gamma 72.09
loop_
_atom_site_label
_atom_site_fract_x
_atom_site_fract_y
_atom_site_fract_z
Cu1 0.0000 0.0000 0.0000
Cu2 0.0359 0.1691 0.5592
P1 0.3505 0.1576 0.1839
P2 0.3768 0.4869 0.2972
O1 0.1739 0.7133 0.2662
O2 0.1834 0.0524 0.3710
O3 0.2173 0.1573 0.0412
O4 0.2964 0.4016 0.1645
O5 0.3029 0.5212 0.7332
O6 0.3076 0.3311 0.4809
O7 0.3205 0.9446 0.8150
```


Record 3
The following is a calculated XRD peak list of Cu2P2O7. It was derived from a PBE-relaxed structure, using Cu Kα (λ = 1.5418 Å).
Neutral-atom scattering factors, no anomalous dispersion.

Largest 8 diffraction maxima, by intensity, 2θ from 15° to 90°:
- 27.8 deg, 3.207 Å, I 1000
- 30.0 deg, 2.982 Å, I 842
- 30.3 deg, 2.948 Å, I 401
- 35.6 deg, 2.522 Å, I 253
- 35.0 deg, 2.564 Å, I 213
- 47.0 deg, 1.934 Å, I 212
- 59.7 deg, 1.549 Å, I 194
- 43.8 deg, 2.066 Å, I 194

```
data_Cu2P2O7
_chemical_formula_sum 'Cu4 P4 O14'
_symmetry_space_group_name_H-M 'C 1 2 1'
_symmetry_Int_Tables_number 5
_symmetry_space_group_name_Hall 'C 2y'
_cell_length_a 7.0044
_cell_length_b 8.1931
_cell_length_c 4.6315
_cell_angle_alpha 90.00
_cell_angle_beta 110.16
_cell_angle_gamma 90.00
loop_
_atom_site_label
_atom_site_fract_x
_atom_site_fract_y
_atom_site_fract_z
Cu1 0.0000 0.0000 0.0000
Cu2 0.0000 0.3776 0.0000
P1 0.1982 0.6843 0.4090
O1 0.0000 0.6681 0.5000
O2 0.1217 0.1883 0.2792
O3 0.1964 0.8415 0.2342
O4 0.2080 0.5322 0.2240
```


Record 4
The following is a calculated XRD peak list of Cu5P2O12. It was derived from a PBE-relaxed structure, using Cu Kα (λ = 1.5418 Å).
Neutral-atom scattering factors, no anomalous dispersion.

Largest 8 diffraction maxima, by intensity, 2θ from 15° to 90°:
- 19.4 deg, 4.583 Å, I 1000
- 37.9 deg, 2.375 Å, I 839
- 28.6 deg, 3.125 Å, I 352
- 29.9 deg, 2.988 Å, I 261
- 36.2 deg, 2.480 Å, I 244
- 32.9 deg, 2.726 Å, I 225
- 39.3 deg, 2.291 Å, I 183
- 31.3 deg, 2.859 Å, I 173

```
data_Cu5P2O12
_chemical_formula_sum 'Cu10 P4 O24'
_symmetry_space_group_name_H-M 'P 1 21/c 1'
_symmetry_Int_Tables_number 14
_symmetry_space_group_name_Hall '-P 2ybc'
_cell_length_a 4.5889
_cell_length_b 10.3300
_cell_length_c 8.9368
_cell_angle_alpha 90.00
_cell_angle_beta 92.83
_cell_angle_gamma 90.00
loop_
_atom_site_label
_atom_site_fract_x
_atom_site_fract_y
_atom_site_fract_z
Cu1 0.0000 0.0000 0.0000
Cu2 0.0285 0.2370 0.3679
Cu3 0.0475 0.5685 0.8626
P1 0.4858 0.6950 0.3865
O1 0.1360 0.0869 0.8315
O2 0.1449 0.5791 0.0711
O3 0.2676 0.7132 0.7894
O4 0.3013 0.6219 0.5003
O5 0.3263 0.2048 0.5208
O6 0.3312 0.1138 0.2135
```